No. 1
PrPu2USb4: calculated PXRD pattern (a wavelength of 1.5418 Å), based on DFT lattice parameters and positions (PBE).

Crystal structure
a b c (Å): 14.0608 6.2954 6.2953
angles (deg): 90.00 116.55 90.00
Space group Cm (No. 8)
Symmetry-distinct sites (fractional):
Pr 0.0000 0.0000 0.0000 x2
Pu 0.0000 0.5000 0.5008 x2
Pu 0.2501 0.5000 0.2505 x2
U 0.2501 0.0000 0.7502 x2
Sb 0.0029 0.0000 0.5030 x2
Sb 0.2463 0.5000 0.7468 x2
Sb 0.2538 0.0000 0.2541 x2
Sb 0.4972 0.0000 0.9980 x2

The 6 most intense peaks (15 to 90 degrees two-theta), sorted by position:
3.147 Å, intensity 100, hkl 0 2 0
2.225 Å, intensity 77, hkl 2 2 -2
1.817 Å, intensity 28, hkl 2 2 2
1.573 Å, intensity 13, hkl 0 4 0
1.407 Å, intensity 36, hkl 4 2 -4
1.285 Å, intensity 27, hkl 2 4 2

No. 2
Ca2TaN3: calculated PXRD pattern (a wavelength of 1.5418 Å), based on DFT lattice parameters and positions (PBE).

Crystal structure
a b c (Å): 11.3916 6.7228 5.1840
angles (deg): 90.00 90.00 90.00
Space group Cmc2_1 (No. 36)
Symmetry-distinct sites (fractional):
Ca 0.1647 0.1641 0.0000 x8
Ta 0.0000 0.3410 0.5316 x4
N 0.0000 0.3744 0.9091 x4
N 0.1431 0.1909 0.4722 x8

The 6 most intense peaks (15 to 90 degrees two-theta), sorted by position:
5.790 Å, intensity 47, hkl 1 1 0
5.696 Å, intensity 79, hkl 2 0 0
3.862 Å, intensity 91, hkl 1 1 1
3.306 Å, intensity 55, hkl 3 1 0
2.820 Å, intensity 60, hkl 0 2 1
2.788 Å, intensity 100, hkl 3 1 1

No. 3
TaTi3Hg: calculated PXRD pattern (a wavelength of 1.5418 Å), based on DFT lattice parameters and positions (PBE).

Crystal structure
a b c (Å): 5.3643 4.7839 7.3141
angles (deg): 90.00 106.80 90.00
Space group P2_1/m (No. 11)
Symmetry-distinct sites (fractional):
Ta 0.0320 0.2500 0.3781 x2
Ti 0.1490 0.7500 0.0196 x2
Ti 0.2518 0.2500 0.7635 x2
Ti 0.3240 0.7500 0.4171 x2
Hg 0.4308 0.2500 0.1806 x2

The 6 most intense peaks (15 to 90 degrees two-theta), sorted by position:
3.950 Å, intensity 84, hkl 0 1 1
3.666 Å, intensity 38, hkl 1 0 1
2.402 Å, intensity 41, hkl 1 0 -3
2.392 Å, intensity 61, hkl 0 2 0
2.334 Å, intensity 100, hkl 2 1 -1
2.262 Å, intensity 98, hkl 1 1 2

No. 4
LaVN3: calculated PXRD pattern (a wavelength of 1.5418 Å), based on DFT lattice parameters and positions (PBE).

Crystal structure
a b c (Å): 9.3950 11.5576 5.2874
angles (deg): 90.00 90.61 90.00
Space group C2/c (No. 15)
Symmetry-distinct sites (fractional):
La 0.2317 0.1113 0.2210 x8
V 0.0000 0.1729 0.7500 x4
V 0.0000 0.3662 0.2500 x4
N 0.0680 0.4877 0.4955 x8
N 0.0712 0.2647 0.0144 x8
N 0.1501 0.0892 0.6637 x8

The 6 most intense peaks (15 to 90 degrees two-theta), sorted by position:
3.901 Å, intensity 32, hkl 0 2 1
3.014 Å, intensity 100, hkl 2 2 -1
2.989 Å, intensity 91, hkl 2 2 1
2.889 Å, intensity 29, hkl 0 4 0
2.644 Å, intensity 27, hkl 0 0 2
1.950 Å, intensity 28, hkl 0 4 2

No. 5
Tb3Sm2Tl3: calculated PXRD pattern (a wavelength of 1.5418 Å), based on DFT lattice parameters and positions (PBE).

Crystal structure
a b c (Å): 4.4727 4.9745 20.7706
angles (deg): 90.00 90.00 90.00
Space group Immm (No. 71)
Symmetry-distinct sites (fractional):
Tb 0.0000 0.0000 0.0000 x2
Tb 0.0000 0.5000 0.1179 x4
Sm 0.0000 0.0000 0.2383 x4
Tl 0.0000 0.0000 0.5000 x2
Tl 0.0000 0.5000 0.3750 x4

The 6 most intense peaks (15 to 90 degrees two-theta), sorted by position:
2.801 Å, intensity 100, hkl 1 1 4
2.596 Å, intensity 19, hkl 0 0 8
2.487 Å, intensity 19, hkl 0 2 0
2.236 Å, intensity 14, hkl 2 0 0
1.535 Å, intensity 13, hkl 1 1 12
1.489 Å, intensity 15, hkl 1 3 4

No. 6
K2Hg3Te4: calculated PXRD pattern (a wavelength of 1.5418 Å), based on DFT lattice parameters and positions (PBE).

Crystal structure
a b c (Å): 14.3558 13.4795 7.2273
angles (deg): 90.00 95.10 90.00
Space group C2/c (No. 15)
Symmetry-distinct sites (fractional):
K 0.1869 0.1320 0.2063 x8
Hg 0.0000 0.0915 0.7500 x4
Hg 0.1001 0.4081 0.4013 x8
Te 0.0592 0.3533 0.9225 x8
Te 0.2289 0.1241 0.7151 x8

The 6 most intense peaks (15 to 90 degrees two-theta), sorted by position:
4.919 Å, intensity 100, hkl 0 2 1
3.370 Å, intensity 90, hkl 0 4 0
3.314 Å, intensity 97, hkl 1 1 2
2.846 Å, intensity 37, hkl 2 4 -1
2.798 Å, intensity 62, hkl 5 1 0
2.657 Å, intensity 55, hkl 4 0 -2